No. 1
Calculated powder XRD pattern of MgFe2Mo2Cl2O8 for Cu Kα (weighted mean of Kα1 and Kα2), from a crystal structure in the Materials Project, relaxed with PBE+U.
Intensities are scaled so that the largest is 100.

Cell and atoms:
```
data_MgFe2Mo2Cl2O8
_chemical_formula_sum 'Mg2 Fe4 Mo4 Cl4 O16'
_cell_length_a 10.0657
_cell_length_b 10.0330
_cell_length_c 5.1746
_cell_angle_alpha 90.00
_cell_angle_beta 91.21
_cell_angle_gamma 90.00
_symmetry_space_group_name_H-M 'C 1 2/m 1'
_symmetry_Int_Tables_number 12
loop_
_symmetry_equiv_pos_as_xyz
'x,y,z'
'-x,-y,-z'
'-x,y,-z'
'x,-y,z'
'x+1/2,y+1/2,z'
'-x+1/2,-y+1/2,-z'
'-x+1/2,y+1/2,-z'
'x+1/2,-y+1/2,z'
loop_
_atom_site_label
_atom_site_type_symbol
_atom_site_fract_x
_atom_site_fract_y
_atom_site_fract_z
_atom_site_occupancy
Mg1 Mg 0.0000 0.0000 0.0000 1
Fe1 Fe 0.2484 0.5000 0.6885 1
Mo1 Mo 0.0000 0.2420 0.5000 1
Cl1 Cl 0.2287 0.0000 0.8104 1
O1 O 0.0820 0.1351 0.2654 1
O2 O 0.1189 0.3433 0.6629 1
```

Top 6 peaks for 2θ = 5–70°, by angle:
Position (°2θ)  d_spacing  I/Imax
17.1  5.173  50
24.7  3.601  37
25.1  3.553  100
30.3  2.949  25
30.7  2.908  26
51.4  1.776  21

No. 2
Calculated powder XRD pattern of MgFeCoO4 for Cu Kα (weighted mean of Kα1 and Kα2), from a crystal structure in the Materials Project, relaxed with PBE+U.
Intensities are scaled so that the largest is 100.

Cell and atoms:
```
data_MgFeCoO4
_chemical_formula_sum 'Mg1 Fe1 Co1 O4'
_cell_length_a 4.9628
_cell_length_b 3.0582
_cell_length_c 5.2168
_cell_angle_alpha 90.00
_cell_angle_beta 107.28
_cell_angle_gamma 90.00
_symmetry_space_group_name_H-M 'P 1 2/m 1'
_symmetry_Int_Tables_number 10
loop_
_symmetry_equiv_pos_as_xyz
'x,y,z'
'-x,-y,-z'
'-x,y,-z'
'x,-y,z'
loop_
_atom_site_label
_atom_site_type_symbol
_atom_site_fract_x
_atom_site_fract_y
_atom_site_fract_z
_atom_site_occupancy
Mg1 Mg 0.0000 0.0000 0.0000 1
Fe1 Fe 0.0000 0.5000 0.5000 1
Co1 Co 0.5000 0.0000 0.5000 1
O1 O 0.2400 0.0000 0.7104 1
O2 O 0.2413 0.5000 0.2566 1
```

Top 6 peaks for 2θ = 5–70°, by angle:
Position (°2θ)  d_spacing  I/Imax
17.8  4.981  100
34.9  2.570  29
42.1  2.147  81
44.2  2.047  34
61.4  1.510  21
64.0  1.455  20

No. 3
Calculated powder XRD pattern of Li3NiO2F2 for Cu Kα (weighted mean of Kα1 and Kα2), from a crystal structure in the Materials Project, relaxed with PBE+U.
Intensities are scaled so that the largest is 100.

Cell and atoms:
```
data_Li3NiO2F2
_chemical_formula_sum 'Li6 Ni2 O4 F4'
_cell_length_a 5.0298
_cell_length_b 5.8734
_cell_length_c 4.9974
_cell_angle_alpha 90.00
_cell_angle_beta 107.77
_cell_angle_gamma 90.00
_symmetry_space_group_name_H-M 'P 1 2/c 1'
_symmetry_Int_Tables_number 13
loop_
_symmetry_equiv_pos_as_xyz
'x,y,z'
'-x,-y,-z'
'-x,y,-z+1/2'
'x,-y,z+1/2'
loop_
_atom_site_label
_atom_site_type_symbol
_atom_site_fract_x
_atom_site_fract_y
_atom_site_fract_z
_atom_site_occupancy
Li1 Li 0.0000 0.1157 0.2500 1
Li2 Li 0.0000 0.3610 0.7500 1
Li3 Li 0.5000 0.3660 0.2500 1
Ni1 Ni 0.5000 0.1108 0.7500 1
O1 O 0.2715 0.1135 0.9847 1
F1 F 0.2502 0.3779 0.5049 1
```

Top 6 peaks for 2θ = 5–70°, by angle:
Position (°2θ)  d_spacing  I/Imax
15.1  5.873  68
18.5  4.790  90
24.0  3.706  96
26.7  3.334  33
43.4  2.083  100
44.8  2.025  44

No. 4
Calculated powder XRD pattern of KCaNi2H3Se2O10 for Cu Kα (weighted mean of Kα1 and Kα2), from a crystal structure in the Materials Project, relaxed with PBE+U.
Intensities are scaled so that the largest is 100.

Cell and atoms:
```
data_KCaNi2H3Se2O10
_chemical_formula_sum 'K1 Ca1 Ni2 H3 Se2 O10'
_cell_length_a 5.7736
_cell_length_b 5.7770
_cell_length_c 8.6827
_cell_angle_alpha 97.98
_cell_angle_beta 108.58
_cell_angle_gamma 108.08
_symmetry_space_group_name_H-M 'P 1'
_symmetry_Int_Tables_number 1
loop_
_symmetry_equiv_pos_as_xyz
'x,y,z'
loop_
_atom_site_label
_atom_site_type_symbol
_atom_site_fract_x
_atom_site_fract_y
_atom_site_fract_z
_atom_site_occupancy
K1 K 0.0000 0.0000 0.0000 1
Ca1 Ca 0.4851 0.4718 0.9952 1
Ni1 Ni 0.2242 0.1863 0.4972 1
Ni2 Ni 0.6913 0.7054 0.4993 1
H1 H 0.6756 0.0156 0.3087 1
H2 H 0.7245 0.3698 0.6847 1
H3 H 0.7275 0.2020 0.4903 1
Se1 Se 0.0309 0.6046 0.2802 1
Se2 Se 0.3286 0.7407 0.7151 1
O1 O 0.1162 0.9139 0.6380 1
O2 O 0.1945 0.9200 0.2990 1
O3 O 0.2791 0.4647 0.3552 1
O4 O 0.2896 0.4064 0.7196 1
O5 O 0.4257 0.8463 0.9327 1
O6 O 0.6272 0.8790 0.6968 1
O7 O 0.6438 0.3592 0.5656 1
O8 O 0.6916 0.5754 0.2717 1
O9 O 0.7938 0.0676 0.4269 1
O10 O 0.9199 0.4830 0.0627 1
```

Top 6 peaks for 2θ = 5–70°, by angle:
Position (°2θ)  d_spacing  I/Imax
11.1  7.938  65
16.7  5.294  85
24.2  3.677  33
27.8  3.214  49
32.7  2.738  100
34.8  2.578  39

No. 5
Calculated powder XRD pattern of Sr2MnWO6 for Cu Kα (weighted mean of Kα1 and Kα2), from a crystal structure in the Materials Project, relaxed with PBE+U.
Intensities are scaled so that the largest is 100.

Cell and atoms:
```
data_Sr2MnWO6
_chemical_formula_sum 'Sr8 Mn4 W4 O24'
_cell_length_a 8.1561
_cell_length_b 8.1561
_cell_length_c 8.1561
_cell_angle_alpha 90.00
_cell_angle_beta 90.00
_cell_angle_gamma 90.00
_symmetry_space_group_name_H-M 'F m -3 m'
_symmetry_Int_Tables_number 225
_symmetry_space_group_name_Hall '-F 4 2 3'
loop_
_atom_site_label
_atom_site_type_symbol
_atom_site_fract_x
_atom_site_fract_y
_atom_site_fract_z
_atom_site_occupancy
Sr1 Sr 0.2500 0.2500 0.2500 1
Mn1 Mn 0.0000 0.0000 0.0000 1
W1 W 0.0000 0.0000 0.5000 1
O1 O 0.0000 0.0000 0.2611 1
```

Top 6 peaks for 2θ = 5–70°, by angle:
Position (°2θ)  d_spacing  I/Imax
18.8  4.709  26
31.0  2.884  100
36.5  2.459  13
44.4  2.039  33
55.2  1.665  40
64.6  1.442  20

No. 6
Calculated powder XRD pattern of LiTiNiO4 for Cu Kα (weighted mean of Kα1 and Kα2), from a crystal structure in the Materials Project, relaxed with PBE+U.
Intensities are scaled so that the largest is 100.

Cell and atoms:
```
data_LiTiNiO4
_chemical_formula_sum 'Li4 Ti4 Ni4 O16'
_cell_length_a 10.0255
_cell_length_b 6.0081
_cell_length_c 6.0137
_cell_angle_alpha 90.00
_cell_angle_beta 126.87
_cell_angle_gamma 90.00
_symmetry_space_group_name_H-M 'C 1 2/m 1'
_symmetry_Int_Tables_number 12
loop_
_symmetry_equiv_pos_as_xyz
'x,y,z'
'-x,-y,-z'
'-x,y,-z'
'x,-y,z'
'x+1/2,y+1/2,z'
'-x+1/2,-y+1/2,-z'
'-x+1/2,y+1/2,-z'
'x+1/2,-y+1/2,z'
loop_
_atom_site_label
_atom_site_type_symbol
_atom_site_fract_x
_atom_site_fract_y
_atom_site_fract_z
_atom_site_occupancy
Li1 Li 0.1215 0.0000 0.3714 1
Ti1 Ti 0.0000 0.5000 0.0000 1
Ti2 Ti 0.0000 0.5000 0.5000 1
Ni1 Ni 0.2500 0.2500 0.0000 1
O1 O 0.0131 0.2779 0.7632 1
O2 O 0.2389 0.5000 0.2175 1
O3 O 0.2386 0.5000 0.7583 1
```

Top 6 peaks for 2θ = 5–70°, by angle:
Position (°2θ)  d_spacing  I/Imax
18.4  4.810  100
35.2  2.549  34
36.8  2.443  15
42.5  2.125  40
45.2  2.005  16
63.8  1.458  22

No. 7
Calculated powder XRD pattern of NbVO5 for Cu Kα (weighted mean of Kα1 and Kα2), from a crystal structure in the Materials Project, relaxed with PBE+U.
Intensities are scaled so that the largest is 100.

Cell and atoms:
```
data_NbVO5
_chemical_formula_sum 'Nb2 V2 O10'
_cell_length_a 6.8776
_cell_length_b 6.8776
_cell_length_c 4.2258
_cell_angle_alpha 90.00
_cell_angle_beta 90.00
_cell_angle_gamma 90.00
_symmetry_space_group_name_H-M 'P 4/n'
_symmetry_Int_Tables_number 85
loop_
_symmetry_equiv_pos_as_xyz
'x,y,z'
'-x,-y,-z'
'-y+1/2,x,z'
'y+1/2,-x,-z'
'-x+1/2,-y+1/2,z'
'x+1/2,y+1/2,-z'
'y,-x+1/2,z'
'-y,x+1/2,-z'
loop_
_atom_site_label
_atom_site_type_symbol
_atom_site_fract_x
_atom_site_fract_y
_atom_site_fract_z
_atom_site_occupancy
Nb1 Nb 0.2500 0.2500 0.1980 1
V1 V 0.2500 0.7500 0.5000 1
O1 O 0.0407 0.7427 0.7305 1
O2 O 0.2500 0.2500 0.7746 1
```

Top 6 peaks for 2θ = 5–70°, by angle:
Position (°2θ)  d_spacing  I/Imax
24.7  3.600  78
25.9  3.439  100
28.0  3.190  43
45.0  2.015  25
46.9  1.938  21
61.2  1.515  29

No. 8
Calculated powder XRD pattern of CaCr2O5 for Cu Kα (weighted mean of Kα1 and Kα2), from a crystal structure in the Materials Project, relaxed with PBE+U.
Intensities are scaled so that the largest is 100.

Cell and atoms:
```
data_CaCr2O5
_chemical_formula_sum 'Ca2 Cr4 O10'
_cell_length_a 3.6261
_cell_length_b 11.4367
_cell_length_c 4.9919
_cell_angle_alpha 90.00
_cell_angle_beta 90.00
_cell_angle_gamma 90.00
_symmetry_space_group_name_H-M 'P m m n'
_symmetry_Int_Tables_number 59
loop_
_symmetry_equiv_pos_as_xyz
'x,y,z'
'-x,-y,-z'
'-x+1/2,-y+1/2,z'
'x+1/2,y+1/2,-z'
'x+1/2,-y,-z'
'-x+1/2,y,z'
'-x,y+1/2,-z'
'x,-y+1/2,z'
loop_
_atom_site_label
_atom_site_type_symbol
_atom_site_fract_x
_atom_site_fract_y
_atom_site_fract_z
_atom_site_occupancy
Ca1 Ca 0.2500 0.2500 0.1345 1
Cr1 Cr 0.2500 0.5963 0.4047 1
O1 O 0.2500 0.0750 0.4650 1
O2 O 0.2500 0.6286 0.0689 1
O3 O 0.2500 0.7500 0.5540 1
```

Top 6 peaks for 2θ = 5–70°, by angle:
Position (°2θ)  d_spacing  I/Imax
17.8  4.992  100
23.7  3.761  65
29.5  3.030  84
30.5  2.934  94
31.5  2.842  48
34.1  2.627  82

No. 9
Calculated powder XRD pattern of Mn4O7F for Cu Kα (weighted mean of Kα1 and Kα2), from a crystal structure in the Materials Project, relaxed with PBE+U.
Intensities are scaled so that the largest is 100.

Cell and atoms:
```
data_Mn4O7F
_chemical_formula_sum 'Mn8 O14 F2'
_cell_length_a 5.4946
_cell_length_b 4.9678
_cell_length_c 8.9524
_cell_angle_alpha 90.00
_cell_angle_beta 91.34
_cell_angle_gamma 90.00
_symmetry_space_group_name_H-M 'P 1 21 1'
_symmetry_Int_Tables_number 4
loop_
_symmetry_equiv_pos_as_xyz
'x,y,z'
'-x,y+1/2,-z'
loop_
_atom_site_label
_atom_site_type_symbol
_atom_site_fract_x
_atom_site_fract_y
_atom_site_fract_z
_atom_site_occupancy
Mn1 Mn 0.0849 0.0000 0.3792 1
Mn2 Mn 0.1062 0.0100 0.8741 1
Mn3 Mn 0.3825 0.5034 0.8850 1
Mn4 Mn 0.4017 0.5234 0.3757 1
O1 O 0.1353 0.6835 0.2571 1
O2 O 0.1378 0.3337 0.9953 1
O3 O 0.1397 0.6799 0.7615 1
O4 O 0.1418 0.3360 0.4850 1
O5 O 0.3570 0.1855 0.7632 1
O6 O 0.3607 0.8351 0.9940 1
O7 O 0.3608 0.8484 0.4906 1
F1 F 0.3732 0.1767 0.2513 1
```

Top 6 peaks for 2θ = 5–70°, by angle:
Position (°2θ)  d_spacing  I/Imax
25.4  3.510  61
26.0  3.430  55
31.2  2.867  96
31.7  2.823  100
37.4  2.404  44
55.3  1.662  47

No. 10
Calculated powder XRD pattern of Ti5Fe11O24 for Cu Kα (weighted mean of Kα1 and Kα2), from a crystal structure in the Materials Project, relaxed with PBE+U.
Intensities are scaled so that the largest is 100.

Cell and atoms:
```
data_Ti5Fe11O24
_chemical_formula_sum 'Ti5 Fe11 O24'
_cell_length_a 7.5708
_cell_length_b 7.5864
_cell_length_c 8.9405
_cell_angle_alpha 66.79
_cell_angle_beta 66.76
_cell_angle_gamma 85.85
_symmetry_space_group_name_H-M 'P 1'
_symmetry_Int_Tables_number 1
loop_
_symmetry_equiv_pos_as_xyz
'x,y,z'
loop_
_atom_site_label
_atom_site_type_symbol
_atom_site_fract_x
_atom_site_fract_y
_atom_site_fract_z
_atom_site_occupancy
Ti1 Ti 0.0000 0.0000 0.0000 1
Ti2 Ti 0.0634 0.0623 0.2978 1
Ti3 Ti 0.3152 0.8101 0.7887 1
Ti4 Ti 0.5630 0.5601 0.2933 1
Ti5 Ti 0.8117 0.3116 0.7927 1
Fe1 Fe 0.0035 0.4962 0.0001 1
Fe2 Fe 0.0664 0.5633 0.2920 1
Fe3 Fe 0.2511 0.2505 0.5039 1
Fe4 Fe 0.2524 0.7464 0.5019 1
Fe5 Fe 0.3188 0.3155 0.7942 1
Fe6 Fe 0.4980 0.9966 0.0001 1
Fe7 Fe 0.5079 0.5050 0.9990 1
Fe8 Fe 0.5645 0.0649 0.2897 1
Fe9 Fe 0.7523 0.2517 0.4982 1
Fe10 Fe 0.7519 0.7492 0.5004 1
Fe11 Fe 0.8182 0.8134 0.7872 1
O1 O 0.0085 0.3022 0.8804 1
O2 O 0.0687 0.7585 0.3887 1
O3 O 0.0822 0.7467 0.0507 1
O4 O 0.0941 0.7333 0.7432 1
O5 O 0.2148 0.0931 0.0560 1
O6 O 0.2421 0.0649 0.7585 1
O7 O 0.2567 0.0563 0.3814 1
O8 O 0.3227 0.5097 0.8896 1
O9 O 0.3337 0.4947 0.2401 1
O10 O 0.3410 0.4851 0.5516 1
O11 O 0.4754 0.8462 0.5525 1
O12 O 0.4939 0.8180 0.2557 1
O13 O 0.5009 0.8074 0.8833 1
O14 O 0.5658 0.2561 0.3900 1
O15 O 0.5865 0.2349 0.0482 1
O16 O 0.5866 0.2380 0.7402 1
O17 O 0.7184 0.5830 0.0641 1
O18 O 0.7432 0.5605 0.7528 1
O19 O 0.7575 0.5564 0.3810 1
O20 O 0.8245 0.0102 0.9000 1
O21 O 0.8373 0.9929 0.2285 1
O22 O 0.8406 0.9948 0.5327 1
O23 O 0.9727 0.3405 0.5552 1
O24 O 0.9991 0.3230 0.2482 1
```

Top 6 peaks for 2θ = 5–70°, by angle:
Position (°2θ)  d_spacing  I/Imax
23.6  3.770  32
32.4  2.759  100
34.8  2.581  75
48.3  1.883  26
52.8  1.734  35
62.3  1.490  34